For Co7PbO12, a GGA+U-relaxed structure gives the theoretical powder diffractogram in this record (Cu Kα (weighted mean of Kα1 and Kα2)).
Neutral-atom scattering factors, no anomalous dispersion.

Largest 6 diffraction maxima, low angle first, 2θ from 10° to 90°:
two_theta, d/Å, intensity
17.04, 5.205, 26
34.46, 2.602, 100
46.14, 1.967, 17
49.53, 1.840, 23
61.74, 1.503, 46
82.96, 1.164, 17

Atomic structure:
```
data_Co7PbO12
_cell_length_a 7.361
_cell_length_b 7.361
_cell_length_c 7.361
_cell_angle_alpha 90.00
_cell_angle_beta 90.00
_cell_angle_gamma 90.00
_space_group_name_H-M_alt 'I m -3'
_space_group_IT_number 204
_space_group_name_Hall '-I 2 2 3'
loop_
_atom_site_label
_atom_site_type_symbol
_atom_site_fract_x
_atom_site_fract_y
_atom_site_fract_z
_atom_site_occupancy
Co1 Co 0.000 0.000 0.500 1
Co2 Co 0.250 0.250 0.250 1
Pb1 Pb 0.000 0.000 0.000 1
O1 O 0.000 0.176 0.319 1
```